# 1
The following is a computed XRD peak list of Si5Ag4. It was derived from a structure optimized by DFT (PBE), using Cu Kα, 1.54184 Å.

Atomic structure:
a = 9.058 Å, b = 9.058 Å, c = 3.694 Å
α = 90.00°, β = 90.00°, γ = 90.00°
Space group I4/mmm (No. 139)
Inequivalent atoms, fractional coordinates:
Si  0.000  0.000  0.000
Si  0.175  0.175  0.500
Ag  0.000  0.328  0.000

Largest 12 diffraction maxima, in order of rising 2θ, 10 to 90 degrees two-theta:
- 13.8°, rel. 42.8
- 26.1°, rel. 7.4
- 27.9°, rel. 11.2
- 32.8°, rel. 26.5
- 38.5°, rel. 100.0
- 42.3°, rel. 37.5
- 49.3°, rel. 11.9
- 61.4°, rel. 11.6
- 67.0°, rel. 18.1
- 74.9°, rel. 25.6
- 82.5°, rel. 10.0
- 85.1°, rel. 9.6

***

# 2
The following is a computed XRD peak list of Ag2HClO. It was derived from a structure optimized by DFT (PBE), using Cu Kα, 1.54184 Å.

Atomic structure:
a = 6.564 Å, b = 6.564 Å, c = 7.677 Å
α = 90.00°, β = 90.00°, γ = 90.00°
Space group I4cm (No. 108)
Inequivalent atoms, fractional coordinates:
Ag  0.248  0.252  0.000
H  0.000  0.000  0.186
Cl  0.000  0.500  0.285
O  0.000  0.000  0.058

Largest 12 diffraction maxima, in order of rising 2θ, 10 to 90 degrees two-theta:
- 23.2°, rel. 53.7
- 27.2°, rel. 49.9
- 36.0°, rel. 100.0
- 38.8°, rel. 51.5
- 45.7°, rel. 34.5
- 47.4°, rel. 11.6
- 55.5°, rel. 19.0
- 56.0°, rel. 16.2
- 61.4°, rel. 13.5
- 62.8°, rel. 18.9
- 68.4°, rel. 27.9
- 82.8°, rel. 11.6

***

# 3
The following is a computed XRD peak list of TbCePm6. It was derived from a structure optimized by DFT (PBE), using Cu Kα, 1.54184 Å.

Atomic structure:
a = 7.260 Å, b = 10.232 Å, c = 14.516 Å
α = 90.00°, β = 90.00°, γ = 90.00°
Space group Fmmm (No. 69)
Inequivalent atoms, fractional coordinates:
Tb  0.000  0.000  0.000
Ce  0.000  0.000  0.500
Pm  0.000  0.000  0.252
Pm  0.250  0.250  0.122

Largest 12 diffraction maxima, in order of rising 2θ, 10 to 90 degrees two-theta:
- 30.2°, rel. 100.0
- 35.0°, rel. 33.8
- 35.1°, rel. 16.8
- 50.3°, rel. 36.1
- 59.8°, rel. 28.6
- 59.9°, rel. 14.3
- 62.8°, rel. 12.3
- 73.9°, rel. 3.8
- 81.8°, rel. 5.8
- 81.9°, rel. 11.7
- 84.4°, rel. 10.8
- 84.7°, rel. 5.4